This entry pairs a crystal structure of ZrBr with its calculated powder XRD pattern. Radiation: λ = 1.5418 Å (Cu Kα). Structure: a GGA-PBE-relaxed structure.

Top 10 peaks for 5 to 70 degrees two-theta, in order of rising 2θ:
2theta  intensity
9.13  25.9
18.33  12.7
29.83  16.8
33.08  100.0
36.48  19.0
42.93  41.3
51.72  28.5
62.78  15.0
65.38  9.9
69.41  9.6

Atomic structure:
abc: 3.5348 3.5348 29.0434
angles: 90.00 90.00 120.00
Positions (direct):
Zr 0.0000 0.0000 0.2074
Zr 0.0000 0.0000 0.7926
Zr 0.3333 0.6667 0.4593
Zr 0.3333 0.6667 0.8740
Zr 0.6667 0.3333 0.1260
Zr 0.6667 0.3333 0.5407
Br 0.0000 0.0000 0.3938
Br 0.0000 0.0000 0.6062
Br 0.3333 0.6667 0.0605
Br 0.3333 0.6667 0.2728
Br 0.6667 0.3333 0.7272
Br 0.6667 0.3333 0.9395

***

This entry pairs a crystal structure of BaTiOF4 with its calculated powder XRD pattern. Radiation: λ = 1.5418 Å (Cu Kα). Structure: a GGA-PBE-relaxed structure.

Top 10 peaks for 5 to 70 degrees two-theta, in order of rising 2θ:
2theta  intensity
20.35  15.5
23.96  100.0
25.51  39.4
30.21  47.2
31.93  21.4
33.77  15.6
39.75  18.6
41.31  56.4
45.96  16.8
59.64  15.9

Atomic structure:
abc: 5.3086 13.9102 5.6056
angles: 90.00 90.00 90.00
Positions (direct):
Ba 0.2485 0.0937 0.2500
Ba 0.2485 0.4063 0.7500
Ba 0.7515 0.5937 0.2500
Ba 0.7515 0.9063 0.7500
Ti 0.3132 0.6770 0.7500
Ti 0.3132 0.8230 0.2500
Ti 0.6868 0.1770 0.7500
Ti 0.6868 0.3230 0.2500
O 0.4471 0.7500 0.0000
O 0.4471 0.7500 0.5000
O 0.5529 0.2500 0.0000
O 0.5529 0.2500 0.5000
F 0.0054 0.2354 0.7500
F 0.0054 0.2646 0.2500
F 0.1796 0.5813 0.5150
F 0.1796 0.5813 0.9850
F 0.1796 0.9187 0.0150
F 0.1796 0.9187 0.4850
F 0.4027 0.0879 0.7500
F 0.4027 0.4121 0.2500
F 0.5973 0.5879 0.7500
F 0.5973 0.9121 0.2500
F 0.8204 0.0813 0.5150
F 0.8204 0.0813 0.9850
F 0.8204 0.4187 0.0150
F 0.8204 0.4187 0.4850
F 0.9946 0.7354 0.7500
F 0.9946 0.7646 0.2500

***

This entry pairs a crystal structure of Hf2IrRu with its calculated powder XRD pattern. Radiation: λ = 1.5418 Å (Cu Kα). Structure: a GGA-PBE-relaxed structure.

Top 6 peaks for 5 to 70 degrees two-theta, in order of rising 2θ:
2theta  intensity
23.62  4.1
27.34  1.1
39.05  100.0
46.15  2.3
56.42  17.3
62.01  1.0

Atomic structure:
abc: 6.5240 6.5240 6.5240
angles: 90.00 90.00 90.00
Positions (direct):
Hf 0.2500 0.2500 0.2500
Hf 0.2500 0.2500 0.7500
Hf 0.2500 0.7500 0.2500
Hf 0.2500 0.7500 0.7500
Hf 0.7500 0.2500 0.2500
Hf 0.7500 0.2500 0.7500
Hf 0.7500 0.7500 0.2500
Hf 0.7500 0.7500 0.7500
Ir 0.0000 0.0000 0.0000
Ir 0.0000 0.5000 0.5000
Ir 0.5000 0.0000 0.5000
Ir 0.5000 0.5000 0.0000
Ru 0.0000 0.0000 0.5000
Ru 0.0000 0.5000 0.0000
Ru 0.5000 0.0000 0.0000
Ru 0.5000 0.5000 0.5000

***

This entry pairs a crystal structure of PrB3 with its calculated powder XRD pattern. Radiation: λ = 1.5418 Å (Cu Kα). Structure: a GGA-PBE-relaxed structure.

Top 10 peaks for 5 to 70 degrees two-theta, in order of rising 2θ:
2theta  intensity
18.00  37.0
31.45  71.5
31.58  100.0
36.47  12.8
45.17  45.4
48.91  12.4
52.88  7.0
56.05  47.1
62.83  19.5
65.64  8.1

Atomic structure:
abc: 5.6894 5.6894 3.4630
angles: 90.00 90.00 120.00
Positions (direct):
Pr 0.3333 0.6667 0.2500
Pr 0.6667 0.3333 0.7500
B 0.1053 0.2105 0.7500
B 0.1053 0.8947 0.7500
B 0.2105 0.1053 0.2500
B 0.7895 0.8947 0.7500
B 0.8947 0.1053 0.2500
B 0.8947 0.7895 0.2500

***

This entry pairs a crystal structure of LiNi2S2 with its calculated powder XRD pattern. Radiation: λ = 1.5418 Å (Cu Kα). Structure: a GGA-PBE-relaxed structure.

Top 10 peaks for 5 to 70 degrees two-theta, in order of rising 2θ:
2theta  intensity
14.85  100.0
27.97  82.8
29.96  16.8
31.81  43.1
41.44  83.6
49.48  72.1
51.95  21.8
54.37  43.6
66.47  18.6
69.57  21.2

Atomic structure:
abc: 3.6841 3.6841 5.9649
angles: 90.00 90.00 120.00
Positions (direct):
Li 0.0000 0.0000 0.0000
Ni 0.3333 0.6667 0.3636
Ni 0.6667 0.3333 0.6364
S 0.3333 0.6667 0.7411
S 0.6667 0.3333 0.2589

***

This entry pairs a crystal structure of TbSe with its calculated powder XRD pattern. Radiation: λ = 1.5418 Å (Cu Kα). Structure: a GGA-PBE-relaxed structure.

Top 6 peaks for 5 to 70 degrees two-theta, in order of rising 2θ:
2theta  intensity
26.65  20.4
30.87  100.0
44.21  74.2
52.37  10.1
54.89  26.1
64.31  12.1

Atomic structure:
abc: 5.7941 5.7941 5.7941
angles: 90.00 90.00 90.00
Positions (direct):
Tb 0.0000 0.0000 0.0000
Tb 0.0000 0.5000 0.5000
Tb 0.5000 0.0000 0.5000
Tb 0.5000 0.5000 0.0000
Se 0.0000 0.0000 0.5000
Se 0.0000 0.5000 0.0000
Se 0.5000 0.0000 0.0000
Se 0.5000 0.5000 0.5000

***

This entry pairs a crystal structure of Sm2Te4O11 with its calculated powder XRD pattern. Radiation: λ = 1.5418 Å (Cu Kα). Structure: a GGA-PBE-relaxed structure.

Top 10 peaks for 5 to 70 degrees two-theta, in order of rising 2θ:
2theta  intensity
26.08  100.0
29.16  31.5
29.34  65.7
33.01  20.6
34.11  17.4
40.11  14.8
45.48  21.0
47.84  17.4
48.20  17.8
53.69  25.0

Atomic structure:
abc: 6.8556 6.8556 16.5673
angles: 103.56 103.56 45.09
Positions (direct):
Sm 0.1313 0.6321 0.9624
Sm 0.3679 0.8687 0.5376
Sm 0.6321 0.1313 0.4624
Sm 0.8687 0.3679 0.0376
Te 0.0865 0.6499 0.6249
Te 0.1012 0.6603 0.3017
Te 0.3397 0.8988 0.1983
Te 0.3501 0.9135 0.8751
Te 0.6499 0.0865 0.1249
Te 0.6603 0.1012 0.8017
Te 0.8988 0.3397 0.6983
Te 0.9135 0.3501 0.3751
O 0.0587 0.8939 0.4015
O 0.1061 0.9413 0.0985
O 0.1673 0.2494 0.9467
O 0.1814 0.3111 0.6265
O 0.2494 0.1673 0.4467
O 0.3017 0.4029 0.8316
O 0.3111 0.1814 0.1265
O 0.3162 0.5423 0.5460
O 0.3499 0.6501 0.2500
O 0.4029 0.3017 0.3316
O 0.4577 0.6838 0.9540
O 0.5423 0.3162 0.0460
O 0.5971 0.6983 0.6684
O 0.6501 0.3499 0.7500
O 0.6838 0.4577 0.4540
O 0.6889 0.8186 0.8735
O 0.6983 0.5971 0.1684
O 0.7506 0.8327 0.5533
O 0.8186 0.6889 0.3735
O 0.8327 0.7506 0.0533
O 0.8939 0.0587 0.9015
O 0.9413 0.1061 0.5985

***

This entry pairs a crystal structure of Tm2Co12P7 with its calculated powder XRD pattern. Radiation: λ = 1.5418 Å (Cu Kα). Structure: a GGA-PBE-relaxed structure.

Top 10 peaks for 5 to 70 degrees two-theta, in order of rising 2θ:
2theta  intensity
27.52  12.3
30.37  10.4
34.56  9.3
39.72  100.0
40.12  11.4
49.34  8.6
51.26  15.5
53.97  17.3
57.73  9.1
69.06  8.9

Atomic structure:
abc: 8.9905 8.9905 3.5646
angles: 90.00 90.00 120.00
Positions (direct):
Tm 0.0000 0.0000 0.0000
Tm 0.3333 0.6667 0.5000
Co 0.0500 0.7707 0.5000
Co 0.1023 0.3941 0.0000
Co 0.2293 0.2793 0.5000
Co 0.2918 0.8977 0.0000
Co 0.3932 0.2142 0.0000
Co 0.5341 0.0964 0.5000
Co 0.5623 0.4659 0.5000
Co 0.6059 0.7082 0.0000
Co 0.7207 0.9500 0.5000
Co 0.7858 0.1790 0.0000
Co 0.8210 0.6068 0.0000
Co 0.9036 0.4377 0.5000
P 0.0741 0.6266 0.0000
P 0.2631 0.0426 0.5000
P 0.3734 0.4475 0.0000
P 0.5525 0.9259 0.0000
P 0.6667 0.3333 0.0000
P 0.7795 0.7369 0.5000
P 0.9574 0.2205 0.5000

***

This entry pairs a crystal structure of Mn7SiN6 with its calculated powder XRD pattern. Radiation: λ = 1.5418 Å (Cu Kα). Structure: a GGA-PBE-relaxed structure.

Top 10 peaks for 5 to 70 degrees two-theta, in order of rising 2θ:
2theta  intensity
18.19  58.8
30.23  63.8
35.68  61.1
37.88  45.0
39.88  67.7
40.16  100.0
40.79  71.7
41.92  97.3
43.49  51.7
59.53  36.2

Atomic structure:
abc: 8.6211 5.9137 10.5229
angles: 90.00 90.00 90.00
Positions (direct):
Mn 0.0000 0.0501 0.2500
Mn 0.0000 0.9499 0.7500
Mn 0.0027 0.1715 0.5330
Mn 0.0027 0.8285 0.0330
Mn 0.2033 0.3086 0.0882
Mn 0.2033 0.6914 0.5882
Mn 0.2468 0.1958 0.8400
Mn 0.2468 0.8042 0.3400
Mn 0.2532 0.3042 0.3400
Mn 0.2532 0.6958 0.8400
Mn 0.2967 0.1914 0.5882
Mn 0.2967 0.8086 0.0882
Mn 0.4973 0.3285 0.0330
Mn 0.4973 0.6715 0.5330
Mn 0.5000 0.4499 0.7500
Mn 0.5000 0.5501 0.2500
Mn 0.5027 0.3285 0.4670
Mn 0.5027 0.6715 0.9670
Mn 0.7033 0.1914 0.9118
Mn 0.7033 0.8086 0.4118
Mn 0.7468 0.3042 0.1600
Mn 0.7468 0.6958 0.6600
Mn 0.7532 0.1958 0.6600
Mn 0.7532 0.8042 0.1600
Mn 0.7967 0.3086 0.4118
Mn 0.7967 0.6914 0.9118
Mn 0.9973 0.1715 0.9670
Mn 0.9973 0.8285 0.4670
Si 0.0000 0.4594 0.7500
Si 0.0000 0.5406 0.2500
Si 0.5000 0.0406 0.2500
Si 0.5000 0.9594 0.7500
N 0.0180 0.3220 0.3686
N 0.0180 0.6780 0.8686
N 0.1154 0.2282 0.6885
N 0.1154 0.7718 0.1885
N 0.2037 0.0418 0.9926
N 0.2037 0.9582 0.4926
N 0.2963 0.4582 0.4926
N 0.2963 0.5418 0.9926
N 0.3846 0.2718 0.1885
N 0.3846 0.7282 0.6885
N 0.4820 0.1780 0.8686
N 0.4820 0.8220 0.3686
N 0.5180 0.1780 0.6314
N 0.5180 0.8220 0.1314
N 0.6154 0.2718 0.3115
N 0.6154 0.7282 0.8115
N 0.7037 0.4582 0.0074
N 0.7037 0.5418 0.5074
N 0.7963 0.0418 0.5074
N 0.7963 0.9582 0.0074
N 0.8846 0.2282 0.8115
N 0.8846 0.7718 0.3115
N 0.9820 0.3220 0.1314
N 0.9820 0.6780 0.6314

***

This entry pairs a crystal structure of Mg16Al12Re with its calculated powder XRD pattern. Radiation: λ = 1.5418 Å (Cu Kα). Structure: a GGA-PBE-relaxed structure.

Top 10 peaks for 5 to 70 degrees two-theta, in order of rising 2θ:
2theta  intensity
11.73  98.5
12.24  100.0
20.99  40.9
34.35  41.2
35.70  52.5
37.13  63.8
37.31  38.9
40.79  51.7
41.25  42.4
43.85  42.1

Atomic structure:
abc: 8.9246 8.9246 8.9246
angles: 108.24 108.24 108.24
Positions (direct):
Mg 0.0000 0.0000 0.0000
Mg 0.2655 0.6684 0.6684
Mg 0.3071 0.5813 0.9809
Mg 0.3071 0.9809 0.5813
Mg 0.3396 0.9798 0.9798
Mg 0.4175 0.4175 0.6768
Mg 0.4175 0.6768 0.4175
Mg 0.5813 0.3071 0.9809
Mg 0.5813 0.9809 0.3071
Mg 0.6684 0.2655 0.6684
Mg 0.6684 0.6684 0.2655
Mg 0.6768 0.4175 0.4175
Mg 0.9798 0.3396 0.9798
Mg 0.9798 0.9798 0.3396
Mg 0.9809 0.3071 0.5813
Mg 0.9809 0.5813 0.3071
Al 0.1415 0.3345 0.3345
Al 0.1761 0.1761 0.7877
Al 0.1761 0.7877 0.1761
Al 0.3345 0.1415 0.3345
Al 0.3345 0.3345 0.1415
Al 0.6198 0.8020 0.9823
Al 0.6198 0.9823 0.8020
Al 0.7877 0.1761 0.1761
Al 0.8020 0.6198 0.9823
Al 0.8020 0.9823 0.6198
Al 0.9823 0.6198 0.8020
Al 0.9823 0.8020 0.6198
Re 0.7177 0.7177 0.7177

***

This entry pairs a crystal structure of KCuPdSe5 with its calculated powder XRD pattern. Radiation: λ = 1.5418 Å (Cu Kα). Structure: a GGA-PBE-relaxed structure.

Top 10 peaks for 5 to 70 degrees two-theta, in order of rising 2θ:
2theta  intensity
9.98  100.0
18.83  13.4
28.18  38.3
30.43  31.4
31.11  83.0
37.15  16.9
46.77  23.1
47.86  25.1
49.20  20.8
58.94  13.9

Atomic structure:
abc: 6.2791 7.4072 9.1041
angles: 90.00 103.33 90.00
Positions (direct):
K 0.2421 0.2500 0.4537
K 0.7579 0.7500 0.5463
Cu 0.3817 0.2500 0.8917
Cu 0.6183 0.7500 0.1083
Pd 0.0000 0.0000 0.0000
Pd 0.0000 0.5000 0.0000
Se 0.1819 0.5105 0.7836
Se 0.1819 0.9895 0.7836
Se 0.2123 0.7500 0.3941
Se 0.2313 0.7500 0.1352
Se 0.4591 0.7500 0.8419
Se 0.5409 0.2500 0.1581
Se 0.7687 0.2500 0.8648
Se 0.7877 0.2500 0.6059
Se 0.8181 0.0105 0.2164
Se 0.8181 0.4895 0.2164